This entry pairs a crystal structure of MgMn6O10F2 with its simulated XRD peak list. Radiation: Cu Kα (weighted mean of Kα1 and Kα2). Structure: the PBE+U geometry in the Materials Project.

Main lines, low angle first (10° ≤ 2θ ≤ 90°):
| d [Å] | 2θ/deg | intensity |
| --- | --- | --- |
| 3.908 | 22.75 | 100 |
| 3.175 | 28.11 | 74 |
| 2.523 | 35.59 | 18 |
| 2.511 | 35.76 | 39 |
| 2.498 | 35.95 | 21 |
| 2.495 | 36.00 | 26 |
| 1.854 | 49.13 | 23 |
| 1.840 | 49.53 | 20 |
| 1.669 | 55.04 | 17 |
| 1.663 | 55.23 | 22 |

Structure:
Lattice parameters (Å, degrees): 5.781 5.892 7.636 105.30 99.89 114.07
Atoms (fractional coordinates):
Mg: 0.000 0.000 0.000
Mn: 0.343 0.516 0.353
Mn: 0.359 0.877 0.796
Mn: 0.654 0.085 0.224
Mn: 0.691 0.495 0.664
Mn: 0.990 0.506 0.005
Mn: 0.996 0.923 0.458
O: 0.035 0.151 0.298
O: 0.084 0.633 0.285
O: 0.279 0.867 0.039
O: 0.428 0.622 0.617
O: 0.592 0.376 0.392
O: 0.630 0.843 0.364
O: 0.726 0.140 0.983
O: 0.741 0.618 0.937
O: 0.939 0.385 0.740
O: 0.982 0.829 0.694
F: 0.262 0.374 0.057
F: 0.390 0.137 0.631